Computed powder X-ray diffraction pattern of TaSiMoRu2 for λ = 1.5418 Å (Cu Kα), from the PBE geometry in Alexandria.

Largest 10 diffraction maxima, in order of rising 2θ, 2θ from 10° to 90°:
(hkl)	2θ/deg	Rel. int.
1 0 0	20.75	11
1 1 0	29.51	4
1 1 1	35.42	100
0 0 2	38.85	24
2 0 0	42.22	39
2 0 2	58.71	29
2 2 0	61.25	13
1 1 3	68.13	15
3 1 1	72.78	24
2 2 2	74.94	14

Atomic structure:
```
data_TaSiMoRu2
_chemical_formula_sum 'Ta1 Si1 Mo1 Ru2'
_symmetry_space_group_name_H-M 'P 1'
_symmetry_Int_Tables_number 1
_symmetry_space_group_name_Hall 'P 1'
_cell_length_a 4.281
_cell_length_b 4.281
_cell_length_c 4.636
_cell_angle_alpha 90.00
_cell_angle_beta 90.00
_cell_angle_gamma 90.00
loop_
_atom_site_label
_atom_site_fract_x
_atom_site_fract_y
_atom_site_fract_z
_atom_site_occupancy
Ta1 0.000 0.000 0.000 1
Si1 0.000 0.000 0.500 1
Mo1 0.500 0.500 0.000 1
Ru1 0.000 0.500 0.500 1
Ru2 0.500 0.000 0.500 1
```